[1]
Diffraction record for KOsAu3S4. The powder diffractogram is theoretical, not measured: it uses a structure optimized by DFT (PBE) and CuKα.
Kinematic intensities with the Lorentz-polarization factor, no thermal factor.

Largest 10 diffraction maxima, by angle, 2θ from 5° to 70°:
- 14.13 deg, I 100.0
- 24.59 deg, I 56.5
- 28.47 deg, I 67.7
- 31.92 deg, I 40.1
- 40.70 deg, I 89.7
- 43.29 deg, I 27.8
- 48.14 deg, I 28.1
- 50.42 deg, I 21.2
- 52.64 deg, I 18.2
- 66.72 deg, I 29.7

Atomic structure:
```
KOsAu3S4
1.0
6.2695 0.0000 0.0000
0.0000 6.2695 0.0000
0.0000 0.0000 6.2695
K Os Au S
1 1 3 4
Direct
0.0000 0.0000 0.0000 K
0.5000 0.5000 0.5000 Os
0.0000 0.5000 0.5000 Au
0.5000 0.0000 0.5000 Au
0.5000 0.5000 0.0000 Au
0.2917 0.2917 0.2917 S
0.2917 0.7083 0.7083 S
0.7083 0.2917 0.7083 S
0.7083 0.7083 0.2917 S
```

[2]
Diffraction record for KP5Au3. The powder diffractogram is theoretical, not measured: it uses a structure optimized by DFT (PBE) and CuKα.
Kinematic intensities with the Lorentz-polarization factor, no thermal factor.

Largest 10 diffraction maxima, by angle, 2θ from 5° to 70°:
- 15.89 deg, I 100.0
- 22.57 deg, I 23.2
- 32.12 deg, I 36.0
- 32.18 deg, I 53.5
- 36.08 deg, I 82.0
- 46.08 deg, I 61.9
- 57.37 deg, I 17.3
- 59.82 deg, I 16.9
- 59.94 deg, I 16.8
- 67.24 deg, I 17.0

Atomic structure:
```
KP5Au3
1.0
6.4240 0.0000 0.0000
-3.2120 5.5633 0.0000
0.0000 0.0000 5.5807
K P Au
1 5 3
Direct
0.0000 0.0000 0.0000 K
0.0000 0.0000 0.5000 P
0.3333 0.6667 0.1860 P
0.3333 0.6667 0.8140 P
0.6667 0.3333 0.1860 P
0.6667 0.3333 0.8140 P
0.0000 0.5000 0.5000 Au
0.5000 0.0000 0.5000 Au
0.5000 0.5000 0.5000 Au
```

[3]
Diffraction record for K4P2Au7. The powder diffractogram is theoretical, not measured: it uses a structure optimized by DFT (PBE) and CuKα.
Kinematic intensities with the Lorentz-polarization factor, no thermal factor.

Largest 10 diffraction maxima, by angle, 2θ from 5° to 70°:
- 8.88 deg, I 34.7
- 16.15 deg, I 46.2
- 16.95 deg, I 95.5
- 17.81 deg, I 72.7
- 32.63 deg, I 63.1
- 33.11 deg, I 48.5
- 34.29 deg, I 100.0
- 36.07 deg, I 27.7
- 40.34 deg, I 41.8
- 45.56 deg, I 38.5

Atomic structure:
```
K4P2Au7
1.0
3.2233 1.8610 9.9594
-3.2233 1.8610 9.9594
0.0000 -3.7220 9.9594
K P Au
4 2 7
Direct
0.1844 0.1844 0.1844 K
0.3111 0.3111 0.3111 K
0.6889 0.6889 0.6889 K
0.8156 0.8156 0.8156 K
0.0550 0.0550 0.0550 P
0.9450 0.9450 0.9450 P
0.2774 0.2773 0.7117 Au
0.2774 0.7117 0.2774 Au
0.2883 0.7226 0.7226 Au
0.5000 0.5000 0.5000 Au
0.7117 0.2773 0.2773 Au
0.7227 0.2883 0.7227 Au
0.7227 0.7227 0.2883 Au
```

[4]
Diffraction record for KRb3P2Au2. The powder diffractogram is theoretical, not measured: it uses a structure optimized by DFT (PBE) and CuKα.
Kinematic intensities with the Lorentz-polarization factor, no thermal factor.

Largest 10 diffraction maxima, by angle, 2θ from 5° to 70°:
- 14.62 deg, I 100.0
- 17.27 deg, I 29.4
- 27.35 deg, I 22.1
- 28.67 deg, I 72.5
- 30.89 deg, I 80.1
- 31.78 deg, I 29.8
- 32.28 deg, I 40.1
- 36.28 deg, I 33.4
- 36.98 deg, I 28.7
- 40.44 deg, I 29.2

Atomic structure:
```
KRb3P2Au2
1.0
6.3475 0.0000 0.0000
0.0000 6.5902 0.0000
-1.9330 0.0000 6.0697
K Rb P Au
1 3 2 2
Direct
0.0000 0.0000 0.0000 K
0.3581 0.5000 0.0486 Rb
0.6514 0.0000 0.3433 Rb
0.7051 0.5000 0.7057 Rb
0.4087 0.0000 0.7650 P
0.9415 0.5000 0.2854 P
0.1772 0.2490 0.5212 Au
0.1772 0.7510 0.5212 Au
```

[5]
Diffraction record for KRb2P2Au3. The powder diffractogram is theoretical, not measured: it uses a structure optimized by DFT (PBE) and CuKα.
Kinematic intensities with the Lorentz-polarization factor, no thermal factor.

Largest 10 diffraction maxima, by angle, 2θ from 5° to 70°:
- 13.47 deg, I 100.0
- 27.60 deg, I 35.4
- 30.64 deg, I 19.5
- 32.06 deg, I 67.2
- 33.03 deg, I 53.8
- 36.71 deg, I 33.3
- 38.93 deg, I 24.3
- 49.08 deg, I 18.0
- 56.52 deg, I 20.7
- 58.39 deg, I 15.3

Atomic structure:
```
KRb2P2Au3
1.0
3.2567 1.8802 6.5738
-3.2567 1.8802 6.5738
0.0000 -3.7605 6.5738
K Rb P Au
1 2 2 3
Direct
0.0000 0.0000 0.0000 K
0.4108 0.4108 0.4108 Rb
0.5892 0.5892 0.5892 Rb
0.2431 0.2431 0.2431 P
0.7569 0.7569 0.7569 P
0.0000 0.0000 0.5000 Au
0.0000 0.5000 0.0000 Au
0.5000 0.0000 0.0000 Au
```

[6]
Diffraction record for K2RbP2Au3. The powder diffractogram is theoretical, not measured: it uses a structure optimized by DFT (PBE) and CuKα.
Kinematic intensities with the Lorentz-polarization factor, no thermal factor.

Largest 10 diffraction maxima, by angle, 2θ from 5° to 70°:
- 13.47 deg, I 100.0
- 16.83 deg, I 33.8
- 27.13 deg, I 23.3
- 27.89 deg, I 31.2
- 31.44 deg, I 28.4
- 33.08 deg, I 49.2
- 34.03 deg, I 59.2
- 37.62 deg, I 50.5
- 49.81 deg, I 36.7
- 58.48 deg, I 19.4

Atomic structure:
```
K2RbP2Au3
1.0
3.1567 1.8225 6.5739
-3.1567 1.8225 6.5739
0.0000 -3.6450 6.5739
K Rb P Au
2 1 2 3
Direct
0.0882 0.0882 0.0882 K
0.9118 0.9118 0.9118 K
0.5000 0.5000 0.5000 Rb
0.2527 0.2527 0.2527 P
0.7473 0.7473 0.7473 P
0.0000 0.5000 0.5000 Au
0.5000 0.0000 0.5000 Au
0.5000 0.5000 0.0000 Au
```